Diffraction record for Ni4Au. The PXRD pattern is simulated, not measured: it uses a structure optimized by DFT (GGA-PBE) and Cu Kα X-rays.
Intensities are scaled so that the largest is 1000.

Top 8 peaks for 5° ≤ 2θ ≤ 70°, in order of rising 2θ:
2θ/deg	Rel. int.
21.62	171
28.83	234
30.76	123
42.66	1000
49.59	326
49.85	145
59.72	40
63.00	58

Structure:
a = 4.500 Å, b = 4.500 Å, c = 4.500 Å
α = 99.51°, β = 99.51°, γ = 132.02°
Positions (direct):
Ni (0.094, 0.309, 0.403)
Ni (0.309, 0.906, 0.215)
Ni (0.691, 0.094, 0.785)
Ni (0.906, 0.691, 0.597)
Au (0.500, 0.500, 0.000)